Calculated powder diffractogram of Li2Mn3O8 for a wavelength of 1.5418 Å, from a DFT-relaxed cell (PBE+U, Alexandria).

Principal peaks in the range 5 to 70 degrees two-theta, sorted by position:
two_theta  I_rel
17.7  144
18.3  1000
23.6  105
31.3  96
36.4  335
43.0  185
44.3  351
58.3  118
62.1  108
64.8  105

Cell and atoms:
```
Li2Mn3O8
1.0
5.221 -2.924 0.000
5.221 2.924 0.000
-1.826 0.000 4.619
Li Mn O
2 3 8
direct
0.192 0.192 0.150
0.808 0.808 0.850
0.240 0.760 0.500
0.500 0.500 0.000
0.760 0.240 0.500
0.110 0.110 0.714
0.164 0.636 0.750
0.364 0.836 0.250
0.395 0.395 0.254
0.605 0.605 0.746
0.636 0.164 0.750
0.836 0.364 0.250
0.890 0.890 0.286
```